(1)
V3ZnO8: simulated powder diffractogram (Cu Kα), based on a DFT-relaxed cell (GGA+U, the Materials Project).

Most intense lines, 2θ from 10° to 90°, sorted by position:
| h k l | two_theta | Rel. int. |
| --- | --- | --- |
| 1 2 1 | 18.28 | 40 |
| 1 1 2 | 23.30 | 100 |
| 1 4 1 | 28.12 | 47 |
| 2 2 2 | 30.03 | 43 |
| 0 4 2 | 32.23 | 53 |
| 3 3 0 | 32.65 | 73 |
| 2 5 3 | 48.13 | 37 |
| 1 8 3 | 61.07 | 40 |

Crystal structure
```
data_V3ZnO8
_cell_length_a 9.9828
_cell_length_b 14.5308
_cell_length_c 8.6175
_cell_angle_alpha 90.00
_cell_angle_beta 90.00
_cell_angle_gamma 90.00
_symmetry_space_group_name_H-M 'I b a 2'
_symmetry_Int_Tables_number 45
loop_
_symmetry_equiv_pos_as_xyz
'x,y,z'
'-x,-y,z'
'-x,y,z+1/2'
'x,-y,z+1/2'
'x+1/2,y+1/2,z+1/2'
'-x+1/2,-y+1/2,z+1/2'
'-x+1/2,y+1/2,z'
'x+1/2,-y+1/2,z'
loop_
_atom_site_label
_atom_site_fract_x
_atom_site_fract_y
_atom_site_fract_z
V1 0.0580 0.2018 0.0000
V2 0.1612 0.3488 0.3111
V3 0.1671 0.0219 0.5061
Zn1 0.1712 0.3453 0.6953
O1 0.0106 0.3892 0.2581
O2 0.0177 0.0795 0.0106
O3 0.0854 0.2669 0.4888
O4 0.1467 0.2375 0.1624
O5 0.1535 0.2264 0.8376
O6 0.2182 0.0802 0.3509
O7 0.2250 0.4180 0.4954
O8 0.2271 0.0759 0.6668
```

---

(2)
VZnO2: simulated powder diffractogram (Cu Kα), based on a DFT-relaxed cell (GGA+U, the Materials Project).

Most intense lines, 2θ from 10° to 90°, sorted by position:
| h k l | two_theta | Rel. int. |
| --- | --- | --- |
| 0 2 -2 | 29.92 | 46 |
| 0 2 2 | 30.33 | 100 |
| 0 1 -3 | 30.55 | 28 |
| 1 -2 0 | 35.27 | 25 |
| 1 0 -2 | 36.04 | 57 |
| 1 -1 2 | 36.64 | 74 |
| -1 2 4 | 52.63 | 24 |
| 1 1 4 | 53.34 | 38 |

Crystal structure
```
data_VZnO2
_cell_length_a 2.9496
_cell_length_b 7.7539
_cell_length_c 9.4573
_cell_angle_alpha 90.59
_cell_angle_beta 90.97
_cell_angle_gamma 100.72
_symmetry_space_group_name_H-M 'P 1'
_symmetry_Int_Tables_number 1
loop_
_symmetry_equiv_pos_as_xyz
'x,y,z'
loop_
_atom_site_label
_atom_site_fract_x
_atom_site_fract_y
_atom_site_fract_z
V1 0.0000 0.0000 0.0000
V2 0.0377 0.9693 0.4462
V3 0.3595 0.6625 0.2111
V4 0.6797 0.3071 0.2359
Zn1 0.2006 0.4320 0.5557
Zn2 0.4347 0.7205 0.7111
Zn3 0.6048 0.2605 0.7445
Zn4 0.8515 0.5443 0.8928
O1 0.1090 0.1851 0.1182
O2 0.2501 0.4397 0.3370
O3 0.4317 0.8507 0.0666
O4 0.5149 0.0508 0.8702
O5 0.5222 0.9176 0.5751
O6 0.6063 0.1190 0.3801
O7 0.7897 0.5302 0.1100
O8 0.9296 0.7842 0.3281
```

---

(3)
Zr11VO24: simulated powder diffractogram (Cu Kα), based on a DFT-relaxed cell (GGA+U, the Materials Project).

Most intense lines, 2θ from 10° to 90°, sorted by position:
| h k l | two_theta | Rel. int. |
| --- | --- | --- |
| 2 0 1 | 29.73 | 100 |
| 0 3 1 | 29.88 | 98 |
| 2 3 0 | 34.91 | 26 |
| 2 3 2 | 49.39 | 71 |
| 4 0 0 | 50.00 | 19 |
| 2 0 3 | 58.04 | 28 |
| 4 3 1 | 59.35 | 26 |
| 2 6 1 | 59.61 | 26 |

Crystal structure
```
data_Zr11VO24
_cell_length_a 7.2965
_cell_length_b 10.8654
_cell_length_c 5.3012
_cell_angle_alpha 90.00
_cell_angle_beta 90.00
_cell_angle_gamma 90.00
_symmetry_space_group_name_H-M 'P m m 2'
_symmetry_Int_Tables_number 25
loop_
_symmetry_equiv_pos_as_xyz
'x,y,z'
'-x,-y,z'
'-x,y,z'
'x,-y,z'
loop_
_atom_site_label
_atom_site_fract_x
_atom_site_fract_y
_atom_site_fract_z
Zr1 0.0000 0.0000 0.0000
Zr2 0.0000 0.3356 0.0258
Zr3 0.2469 0.1668 0.5181
Zr4 0.2545 0.5000 0.5256
Zr5 0.5000 0.3278 0.0239
V1 0.5000 0.0000 0.0385
O1 0.0000 0.1541 0.3116
O2 0.0000 0.1752 0.8175
O3 0.0000 0.5000 0.3338
O4 0.0000 0.5000 0.8228
O5 0.2158 0.0000 0.6967
O6 0.2453 0.3333 0.2210
O7 0.2641 0.3315 0.7217
O8 0.2719 0.0000 0.1946
O9 0.5000 0.1480 0.8441
O10 0.5000 0.1800 0.3414
O11 0.5000 0.5000 0.3248
O12 0.5000 0.5000 0.8341
```

---

(4)
Zr15VO32: simulated powder diffractogram (Cu Kα), based on a DFT-relaxed cell (GGA+U, the Materials Project).

Most intense lines, 2θ from 10° to 90°, sorted by position:
| h k l | two_theta | Rel. int. |
| --- | --- | --- |
| 1 0 -2 | 23.80 | 15 |
| 1 -2 2 | 27.84 | 100 |
| -1 2 2 | 31.19 | 35 |
| 1 2 2 | 31.29 | 34 |
| 0 0 4 | 33.79 | 21 |
| 0 4 0 | 35.04 | 15 |
| 1 4 -2 | 40.28 | 14 |
| 0 4 4 | 53.74 | 14 |

Crystal structure
```
data_Zr15VO32
_cell_length_a 5.2684
_cell_length_b 10.3890
_cell_length_c 10.7628
_cell_angle_alpha 99.62
_cell_angle_beta 90.11
_cell_angle_gamma 90.16
_symmetry_space_group_name_H-M 'P 1'
_symmetry_Int_Tables_number 1
loop_
_symmetry_equiv_pos_as_xyz
'x,y,z'
loop_
_atom_site_label
_atom_site_fract_x
_atom_site_fract_y
_atom_site_fract_z
Zr1 0.0000 0.0000 0.0000
Zr2 0.0000 0.0014 0.5018
Zr3 0.0002 0.5042 0.0003
Zr4 0.4110 0.9996 0.7520
Zr5 0.4128 0.5013 0.2516
Zr6 0.4153 0.0005 0.2506
Zr7 0.4980 0.7216 0.0381
Zr8 0.4994 0.2261 0.5433
Zr9 0.5002 0.7225 0.5445
Zr10 0.5010 0.2255 0.0411
Zr11 0.9103 0.7179 0.7913
Zr12 0.9122 0.7250 0.2920
Zr13 0.9132 0.2275 0.7912
Zr14 0.9151 0.2240 0.2919
Zr15 0.9989 0.5025 0.5043
V1 0.4039 0.4923 0.7464
O1 0.1213 0.8961 0.8182
O2 0.1223 0.8983 0.3189
O3 0.1266 0.3970 0.3216
O4 0.1399 0.4024 0.8142
O5 0.1992 0.1396 0.6576
O6 0.1991 0.6387 0.1569
O7 0.2002 0.1383 0.1566
O8 0.2064 0.6322 0.6611
O9 0.2120 0.6367 0.9047
O10 0.2131 0.1400 0.9062
O11 0.2134 0.6389 0.4088
O12 0.2162 0.1399 0.4080
O13 0.2896 0.3975 0.0681
O14 0.2908 0.8971 0.5689
O15 0.2916 0.8967 0.0673
O16 0.2965 0.4017 0.5766
O17 0.6228 0.3407 0.7278
O18 0.6226 0.8277 0.2241
O19 0.6247 0.3288 0.2245
O20 0.6262 0.8291 0.7247
O21 0.6877 0.5814 0.8816
O22 0.6994 0.0888 0.8853
O23 0.6994 0.5867 0.3867
O24 0.6999 0.0875 0.3865
O25 0.7141 0.0936 0.6379
O26 0.7138 0.5856 0.6366
O27 0.7149 0.0872 0.1354
O28 0.7151 0.5872 0.1351
O29 0.7901 0.8282 0.4755
O30 0.7919 0.8248 0.9742
O31 0.7936 0.3281 0.4766
O32 0.7970 0.3290 0.9722
```